# CrAs
Theoretical X-ray diffraction stick pattern, a wavelength of 1.5418 Å. Input: a structure optimized by DFT (PBE).
Lines closer than 0.1° are merged.

Principal peaks in the range 15° ≤ 2θ ≤ 90°, in order of rising 2θ:
2theta  I (rel.)
32.54  48
32.88  100
42.88  40
43.15  78
50.51  47
51.22  27

Crystal structure
```
data_CrAs
_space_group_name_H-M_alt 'P n m a'
_space_group_IT_number 62
_space_group_name_Hall '-P 2ac 2n'
_cell_length_a 5.6888
_cell_length_b 3.5673
_cell_length_c 6.2867
_cell_angle_alpha 90.00
_cell_angle_beta 90.00
_cell_angle_gamma 90.00
loop_
_atom_site_label
_atom_site_type_symbol
_atom_site_fract_x
_atom_site_fract_y
_atom_site_fract_z
Cr1 Cr 0.0017 0.2500 0.2167
As1 As 0.2150 0.2500 0.5798
```